This entry pairs a crystal structure of Rb2BaNiF6 with its theoretical powder XRD pattern. Radiation: Cu Kα. Structure: a DFT-relaxed cell (PBE+U, Alexandria).
Intensities are scaled so that the largest is 100.

Top 6 peaks for 5 to 70 degrees two-theta, by angle:
- 27.56°, rel. 100
- 32.43°, rel. 6
- 39.36°, rel. 39
- 48.72°, rel. 39
- 56.89°, rel. 24
- 64.35°, rel. 20

Cell lengths 9.156, 9.156, 9.156 Å; angles 90.00, 90.00, 90.00 degrees
Space group Fm-3m (No. 225)
One atom of each set of equivalent atoms:
Rb: 0.250 0.250 0.250 [8 per cell]
Ba: 0.000 0.000 0.000 [4 per cell]
Ni: 0.000 0.000 0.500 [4 per cell]
F: 0.000 0.000 0.277 [24 per cell]